Rb6Tl2O: computed powder diffractogram (Cu Kα (λ = 1.5418 Å)), based on a cell relaxed with GGA-PBE.
Intensities are scaled so that the largest is 100.

Crystal structure
Cell: 9.802 4.258 10.653 Å, 90.00 91.30 90.00°
Fractional positions:
Rb1 0.026 0.000 0.171
Rb2 0.280 0.500 0.514
Rb3 0.282 0.500 0.978
Rb4 0.718 0.500 0.022
Rb5 0.720 0.500 0.486
Rb6 0.974 0.000 0.829
Tl1 0.475 0.000 0.259
Tl2 0.525 0.000 0.741
O1 0.000 0.500 0.000

Main lines, by intensity (2θ from 10° to 90°):
2θ/deg, I (rel.), hkl
26.81, 100, 0 1 2
27.76, 91, 2 1 0
24.97, 57, 2 0 2
24.41, 43, 2 0 -2
46.34, 22, 4 1 2
49.56, 21, 2 2 -2
28.43, 21, 3 0 -1
49.89, 18, 2 2 2
42.46, 18, 0 2 0
28.22, 17, 1 1 -2
48.56, 16, 3 1 -4
33.66, 16, 0 0 4